This entry pairs a crystal structure of CaFe5O6 with its simulated X-ray diffraction stick pattern. Radiation: CuKα. Structure: a cell relaxed with GGA+U.
Neutral-atom scattering factors, no anomalous dispersion.

Main lines, in order of rising 2θ (2θ from 5° to 70°):
d [Å], I (rel.), hkl
2.590, 92, 1 1 2
2.577, 46, 0 2 1
2.566, 45, 2 0 0
2.258, 100, 1 -1 1
2.246, 98, -1 1 2
2.201, 91, 2 2 1
1.601, 29, 0 0 3
1.573, 54, 3 1 2

Crystal structure
a b c (Å): 5.4116 5.4360 5.5095
angles (deg): 60.67 80.89 71.47
Space group P-1 (No. 2)
One atom of each set of equivalent atoms:
Ca 0.0000 0.0000 0.0000 x1
Fe 0.0005 0.3309 0.3385 x2
Fe 0.5000 0.1701 0.6611 x2
Fe 0.5000 0.5000 0.0000 x1
O 0.2491 0.5556 0.3444 x2
O 0.2501 0.9004 0.6529 x2
O 0.2773 0.2498 0.9974 x2